No. 1
AcPr3: calculated powder X-ray diffraction pattern (Cu Kα, 1.54184 Å), based on a structure optimized by DFT (GGA-PBE).
Kinematic intensities with the Lorentz-polarization factor, no thermal factor.

Principal peaks in the range 2θ from 10° to 90°, in order of rising 2θ:
27.23°, intensity 22.9; 28.60°, intensity 27.0; 30.83°, intensity 100.0; 39.90°, intensity 16.7; 48.12°, intensity 19.5; 52.08°, intensity 23.3; 56.94°, intensity 23.7; 58.25°, intensity 16.5

Structural model:
```
8
Lattice="7.5639 0.0000 0.0000 -3.7819 6.5505 0.0000 0.0000 0.0000 6.2413" Properties=species:S:1:pos:R:3 pbc="T T T"
Ac 0.0000 4.3670 1.5603
Ac 3.7819 2.1835 4.6809
Pr 0.0000 2.1408 4.6809
Pr -1.9280 5.4801 4.6809
Pr 1.8540 1.0704 1.5603
Pr 1.9280 5.4801 4.6809
Pr 5.7099 1.0704 1.5603
Pr 3.7819 4.4097 1.5603
```

No. 2
MgTe4Mo3S2: calculated powder X-ray diffraction pattern (Cu Kα, 1.54184 Å), based on a structure optimized by DFT (GGA-PBE).
Kinematic intensities with the Lorentz-polarization factor, no thermal factor.

Principal peaks in the range 2θ from 10° to 90°, in order of rising 2θ:
30.14°, intensity 70.9; 30.53°, intensity 37.4; 33.49°, intensity 46.5; 34.63°, intensity 51.9; 37.31°, intensity 42.3; 38.83°, intensity 46.1; 40.44°, intensity 100.0; 53.53°, intensity 47.6

Structural model:
```
10
Lattice="2.9656 -1.7119 0.0000 2.9656 1.7119 0.0000 -0.0593 0.0000 37.2335" Properties=species:S:1:pos:R:3 pbc="T T T"
Mg 0.0000 0.0000 0.0000
Te 3.9581 0.0000 3.1151
Te 3.9539 0.0000 6.8522
Te 3.9253 0.0000 22.9179
Te 3.9225 0.0000 26.6440
Mo 1.9794 0.0000 4.9926
Mo 1.9473 0.0000 24.7801
Mo 3.9132 0.0000 33.1341
S 1.9333 0.0000 31.6528
S 1.9406 0.0000 34.6393
```